Theoretical X-ray diffraction stick pattern
Compound: HfScPd
Radiation: a wavelength of 1.5418 Å
Structure: the PBE geometry in Alexandria
Peak positions follow from Bragg's law for the DFT cell and can differ from measured ones.

Top 10 peaks for 10° ≤ 2θ ≤ 90°, sorted by position:
- 19.96 deg, I = 65
- 21.13 deg, I = 29
- 33.14 deg, I = 48
- 35.65 deg, I = 100
- 35.99 deg, I = 36
- 37.70 deg, I = 77
- 41.50 deg, I = 46
- 43.02 deg, I = 67
- 44.18 deg, I = 25
- 44.61 deg, I = 25

```
HfScPd
1.0
0.000 4.448 4.990
2.717 0.000 4.990
2.717 4.448 0.000
Hf Sc Pd
2 2 2
direct
0.170 0.830 0.170
0.830 0.170 0.830
0.352 0.352 0.648
0.648 0.648 0.352
0.250 0.250 0.250
0.750 0.750 0.750
```

Theoretical X-ray diffraction stick pattern
Compound: NaAlSiO4
Radiation: a wavelength of 1.5418 Å
Structure: the PBE geometry in Alexandria
Peak positions follow from Bragg's law for the DFT cell and can differ from measured ones.

Top 10 peaks for 10° ≤ 2θ ≤ 90°, sorted by position:
- 13.59 deg, I = 100
- 13.69 deg, I = 43
- 23.70 deg, I = 55
- 23.89 deg, I = 8
- 30.87 deg, I = 9
- 33.73 deg, I = 30
- 34.09 deg, I = 9
- 39.25 deg, I = 8
- 41.91 deg, I = 7
- 50.49 deg, I = 7

```
NaAlSiO4
1.0
6.518 3.763 5.260
-6.518 3.763 5.260
0.000 -7.526 5.260
Na Al Si O
6 6 6 24
direct
0.034 0.481 0.485
0.481 0.485 0.034
0.485 0.034 0.481
0.534 0.985 0.981
0.981 0.534 0.985
0.985 0.981 0.534
0.002 0.250 0.761
0.250 0.761 0.002
0.261 0.750 0.502
0.502 0.261 0.750
0.750 0.502 0.261
0.761 0.002 0.250
0.004 0.753 0.254
0.253 0.504 0.754
0.254 0.004 0.753
0.504 0.754 0.253
0.753 0.254 0.004
0.754 0.253 0.504
0.096 0.786 0.107
0.105 0.709 0.395
0.107 0.096 0.786
0.108 0.403 0.716
0.209 0.605 0.895
0.216 0.903 0.608
0.286 0.596 0.607
0.304 0.910 0.895
0.395 0.105 0.709
0.395 0.410 0.804
0.403 0.716 0.108
0.410 0.804 0.395
0.596 0.607 0.286
0.605 0.895 0.209
0.607 0.286 0.596
0.608 0.216 0.903
0.709 0.395 0.105
0.716 0.108 0.403
0.786 0.107 0.096
0.804 0.395 0.410
0.895 0.209 0.605
0.895 0.304 0.910
0.903 0.608 0.216
0.910 0.895 0.304
```